# HoErPd2
Simulated powder XRD pattern, Cu Kα (λ = 1.5418 Å). Input: a cell relaxed with PBE.
Peak positions follow from Bragg's law for the DFT cell and can differ from measured ones.

Structural model:
```
8
Lattice="4.4585 0.0000 0.0000 0.0000 6.8652 0.0000 0.0000 0.0000 5.6367" Properties=species:S:1:pos:R:3 pbc="T T T"
Ho 0.0000 0.4688 0.0000
Ho 2.2292 6.3964 2.8184
Er 0.0000 3.9014 1.2192
Er 2.2292 2.9639 4.0376
Pd 0.0000 1.4455 2.8937
Pd 0.0000 4.8483 3.9625
Pd 2.2292 2.0169 1.1441
Pd 2.2292 5.4197 0.0753
```

Largest 12 diffraction maxima, by intensity, 2θ from 15° to 90°:
2θ (°)  I_rel
36.69  100.0
32.93  81.9
40.06  81.0
34.40  67.7
40.46  54.4
28.65  44.9
54.13  37.3
42.64  25.5
56.01  23.5
71.34  22.6
78.63  21.5
60.24  18.3

# HoErPd
Simulated powder XRD pattern, Cu Kα (λ = 1.5418 Å). Input: a cell relaxed with PBE.
Peak positions follow from Bragg's law for the DFT cell and can differ from measured ones.

Structural model:
```
12
Lattice="7.0249 0.0000 0.0000 0.0000 4.8373 0.0000 0.0000 0.0000 8.6820" Properties=species:S:1:pos:R:3 pbc="T T T"
Ho 0.1141 1.2093 1.4927
Ho 3.3984 3.6280 5.8337
Ho 3.6266 1.2093 2.8483
Ho 6.9108 3.6280 7.1893
Er 1.0174 1.2093 5.0345
Er 2.4951 3.6280 0.6935
Er 4.5299 1.2093 7.9884
Er 6.0075 3.6280 3.6474
Pd 1.6905 1.2093 7.8582
Pd 1.8219 3.6280 3.5172
Pd 5.2030 1.2093 5.1647
Pd 5.3344 3.6280 0.8237
```

Largest 12 diffraction maxima, by intensity, 2θ from 15° to 90°:
2θ (°)  I_rel
30.45  100.0
33.17  85.0
37.17  61.0
36.17  56.9
31.48  42.4
33.49  24.3
61.31  21.6
32.80  20.3
39.87  19.1
40.38  15.7
82.39  15.4
43.93  15.3

# Ho3ErPd4
Simulated powder XRD pattern, Cu Kα (λ = 1.5418 Å). Input: a cell relaxed with PBE.
Peak positions follow from Bragg's law for the DFT cell and can differ from measured ones.

Structural model:
```
8
Lattice="5.5803 0.0000 0.0000 0.0000 4.5389 0.0000 -0.0126 0.0000 6.8856" Properties=species:S:1:pos:R:3 pbc="T T T"
Ho 0.0000 0.0000 0.0000
Ho 1.1829 0.0000 3.4407
Ho 2.7809 2.2694 5.9546
Er 3.9765 2.2694 2.5105
Pd 0.0522 2.2694 4.9825
Pd 1.1241 2.2694 1.5475
Pd 2.8573 0.0000 0.9768
Pd 3.9091 0.0000 4.3969
```

Largest 12 diffraction maxima, by intensity, 2θ from 15° to 90°:
2θ (°)  I_rel
36.50  100.0
32.65  80.9
40.13  77.5
34.69  64.1
39.72  55.6
28.47  42.7
53.74  36.9
42.59  24.2
55.90  23.3
70.74  22.9
59.64  17.9
69.98  14.7

# HoEr3Pd4
Simulated powder XRD pattern, Cu Kα (λ = 1.5418 Å). Input: a cell relaxed with PBE.
Peak positions follow from Bragg's law for the DFT cell and can differ from measured ones.

Structural model:
```
8
Lattice="5.5587 0.0000 0.0000 0.0000 4.5402 0.0000 -0.0134 0.0000 6.8473" Properties=species:S:1:pos:R:3 pbc="T T T"
Ho 0.0000 0.0000 0.0000
Er 1.1766 0.0000 3.4225
Er 2.7756 2.2701 0.9245
Er 3.9522 2.2701 4.3462
Pd 0.0610 2.2701 1.9006
Pd 1.1106 2.2701 5.3018
Pd 2.8328 0.0000 5.8782
Pd 3.8882 0.0000 2.4619
```

Largest 12 diffraction maxima, by intensity, 2θ from 15° to 90°:
2θ (°)  I_rel
36.63  100.0
32.76  79.9
40.26  76.6
34.84  63.6
39.71  55.9
28.54  43.2
53.83  36.8
42.83  24.0
56.23  23.0
71.02  22.7
72.44  18.6
59.82  17.8

# Ho2ErSn3Pd2Pt
Simulated powder XRD pattern, Cu Kα (λ = 1.5418 Å). Input: a cell relaxed with PBE.
Peak positions follow from Bragg's law for the DFT cell and can differ from measured ones.

Structural model:
```
9
Lattice="3.9315 0.0000 0.0000 0.0000 6.5456 3.7827 0.0000 -6.5456 3.7827" Properties=species:S:1:pos:R:3 pbc="T T T"
Ho 0.0000 -3.9269 3.7827
Ho 0.0000 3.9269 3.7827
Er 0.0000 0.0000 4.5375
Sn 1.9658 -1.7173 2.5066
Sn 1.9658 1.7173 2.5066
Sn 1.9658 0.0000 7.0947
Pd 1.9658 -2.1748 5.2942
Pd 1.9658 2.1748 5.2942
Pt 0.0000 0.0000 1.5180
```

Largest 12 diffraction maxima, by intensity, 2θ from 15° to 90°:
2θ (°)  I_rel
32.87  100.0
35.69  98.2
41.36  50.7
36.29  38.7
66.64  38.7
43.19  34.1
63.71  28.5
46.18  27.3
60.11  18.3
77.03  14.4
76.69  13.3
55.75  11.8

# HoErSi2Pd
Simulated powder XRD pattern, Cu Kα (λ = 1.5418 Å). Input: a cell relaxed with PBE.
Peak positions follow from Bragg's law for the DFT cell and can differ from measured ones.

Structural model:
```
10
Lattice="5.2185 -2.1131 0.0000 5.2185 2.1131 0.0000 -4.7141 0.0000 8.8666" Properties=species:S:1:pos:R:3 pbc="T T T"
Ho 1.4378 0.0000 0.9444
Ho 4.2850 0.0000 7.9222
Er -1.5120 0.0000 2.8670
Er 7.2349 0.0000 5.9996
Si 1.7966 0.0000 3.8452
Si 4.4750 0.0000 1.0100
Si 1.2478 0.0000 7.8565
Si 3.9262 0.0000 5.0214
Pd -0.1297 0.0000 5.6542
Pd 5.8526 0.0000 3.2123
```

Largest 12 diffraction maxima, by intensity, 2θ from 15° to 90°:
2θ (°)  I_rel
33.73  100.0
34.01  88.1
34.46  74.7
37.41  59.2
23.15  58.9
42.79  55.1
41.29  51.4
33.56  39.9
59.38  34.5
27.13  31.9
27.59  28.4
40.70  27.2

# Ho2ErSn3Pd3
Simulated powder XRD pattern, Cu Kα (λ = 1.5418 Å). Input: a cell relaxed with PBE.
Peak positions follow from Bragg's law for the DFT cell and can differ from measured ones.

Structural model:
```
9
Lattice="3.8593 0.0000 0.0000 0.0000 6.6030 3.8163 0.0000 -6.6030 3.8163" Properties=species:S:1:pos:R:3 pbc="T T T"
Ho 0.0000 -3.9492 3.8163
Ho 0.0000 3.9492 3.8163
Er 0.0000 0.0000 4.5995
Sn 1.9297 -1.7390 2.5400
Sn 1.9297 1.7390 2.5400
Sn 1.9297 0.0000 7.1564
Pd 0.0000 0.0000 1.5385
Pd 1.9297 -2.1934 5.3479
Pd 1.9297 2.1934 5.3479
```

Largest 12 diffraction maxima, by intensity, 2θ from 15° to 90°:
2θ (°)  I_rel
33.02  100.0
35.78  74.2
35.97  41.3
40.98  40.1
66.25  30.3
47.09  21.7
64.17  21.3
43.15  19.0
60.65  18.6
55.52  13.7
49.76  12.7
76.16  12.6

# Ho2Er5Te2Pd2
Simulated powder XRD pattern, Cu Kα (λ = 1.5418 Å). Input: a cell relaxed with PBE.
Peak positions follow from Bragg's law for the DFT cell and can differ from measured ones.

Structural model:
```
11
Lattice="-1.9600 7.8250 4.7870 1.9600 -7.8250 4.7870 1.9600 7.8250 -4.7870" Properties=species:S:1:pos:R:3 pbc="T T T"
Ho 0.0000 2.2601 0.0000
Ho 0.0000 13.3899 0.0000
Er 1.9600 -2.0209 3.3259
Er 1.9600 4.9793 1.3419
Er 1.9600 2.0209 3.3259
Er 0.0000 7.8250 2.5281
Er 0.0000 2.8456 6.1289
Te 1.9600 0.0000 0.9670
Te 0.0000 0.0000 4.7802
Pd 1.9600 3.7325 -1.5857
Pd 0.0000 4.0925 3.2013
```

Largest 12 diffraction maxima, by intensity, 2θ from 15° to 90°:
2θ (°)  I_rel
33.69  100.0
30.02  68.1
32.90  60.8
34.20  47.2
46.34  34.6
28.51  32.8
57.99  31.1
38.14  21.3
36.30  20.9
39.35  16.2
34.38  14.4
64.91  13.9

Copy entry 6 word for word.
# HoErSi2Pd
Simulated powder XRD pattern, Cu Kα (λ = 1.5418 Å). Input: a cell relaxed with PBE.
Peak positions follow from Bragg's law for the DFT cell and can differ from measured ones.

Structural model:
```
10
Lattice="5.2185 -2.1131 0.0000 5.2185 2.1131 0.0000 -4.7141 0.0000 8.8666" Properties=species:S:1:pos:R:3 pbc="T T T"
Ho 1.4378 0.0000 0.9444
Ho 4.2850 0.0000 7.9222
Er -1.5120 0.0000 2.8670
Er 7.2349 0.0000 5.9996
Si 1.7966 0.0000 3.8452
Si 4.4750 0.0000 1.0100
Si 1.2478 0.0000 7.8565
Si 3.9262 0.0000 5.0214
Pd -0.1297 0.0000 5.6542
Pd 5.8526 0.0000 3.2123
```

Largest 12 diffraction maxima, by intensity, 2θ from 15° to 90°:
2θ (°)  I_rel
33.73  100.0
34.01  88.1
34.46  74.7
37.41  59.2
23.15  58.9
42.79  55.1
41.29  51.4
33.56  39.9
59.38  34.5
27.13  31.9
27.59  28.4
40.70  27.2